The following is a calculated powder diffraction line list of Cs2NbS4. It was derived from DFT lattice parameters and positions (GGA-PBE), using Cu Kα X-rays.
No peak broadening, texture or thermal motion is included.

Atomic structure:
```
data_Cs2NbS4
_chemical_formula_sum 'Cs2 Nb1 S4'
_space_group_name_H-M_alt 'P 1'
_space_group_IT_number 1
_cell_length_a 8.1817
_cell_length_b 6.8897
_cell_length_c 8.4253
_cell_angle_alpha 63.66
_cell_angle_beta 48.99
_cell_angle_gamma 67.35
loop_
_space_group_symop_operation_xyz
'x,y,z'
loop_
_atom_site_label
_atom_site_type_symbol
_atom_site_fract_x
_atom_site_fract_y
_atom_site_fract_z
_atom_site_occupancy
Cs1 Cs 0.0000 0.0000 0.5000 1
Cs2 Cs 0.5000 0.5000 0.0000 1
Nb1 Nb 0.3735 0.3735 0.6265 1
S1 S 0.1019 0.3959 0.6041 1
S2 S 0.3795 0.7063 0.6205 1
S3 S 0.3959 0.1019 0.8981 1
S4 S 0.7063 0.3795 0.2937 1
```

Principal peaks in the range 2θ = 15–90°, by intensity:
| two_theta | I_rel |
| --- | --- |
| 25.96 | 100.0 |
| 21.94 | 99.3 |
| 29.21 | 78.3 |
| 32.85 | 54.4 |
| 42.73 | 49.5 |
| 19.05 | 48.6 |
| 26.51 | 45.1 |
| 50.97 | 38.6 |
| 37.44 | 35.3 |
| 23.22 | 34.3 |